(1)
Starting from a cell relaxed with GGA-PBE, the powder X-ray diffraction pattern of ZrS2O12 was calculated for copper Kα.
Peak positions follow from Bragg's law for the DFT cell and can differ from measured ones.

Cell and atoms:
```
30
Lattice="0.000 5.532 14.278 3.009 0.000 14.278 3.009 5.532 0.000" Properties=species:S:1:pos:R:3 pbc="T T T"
Zr 0.752 1.383 3.569
Zr 5.265 9.681 24.986
S 2.257 4.149 5.140
S 3.761 6.915 12.279
S 2.257 4.149 16.276
S 3.761 6.915 23.415
O 2.560 1.546 8.317
O 4.329 4.703 8.807
O 4.329 3.595 12.610
O 2.113 2.973 4.194
O 5.833 6.361 15.945
O 2.400 5.325 4.194
O 3.905 5.739 11.333
O 1.953 1.546 13.100
O 3.457 4.312 15.456
O 5.833 7.469 19.749
O 4.065 4.312 20.238
O 2.400 2.973 17.222
O 3.617 8.091 11.333
O 1.953 6.752 8.317
O 0.185 3.595 8.807
O 2.560 6.752 13.100
O 4.065 9.518 15.456
O 2.113 5.325 17.222
O 3.617 5.739 24.361
O 0.185 4.703 12.610
O 3.905 8.091 24.361
O 1.689 7.469 15.945
O 1.689 6.361 19.749
O 3.457 9.518 20.238
```

Main lines, low angle first (2θ = 10–90°):
2θ (°), I_rel
12.40, 52
17.06, 29
19.21, 100
24.68, 26
29.93, 34
36.24, 21

---

(2)
Starting from a cell relaxed with GGA-PBE, the powder X-ray diffraction pattern of SbO was calculated for copper Kα.
Peak positions follow from Bragg's law for the DFT cell and can differ from measured ones.

Cell and atoms:
```
8
Lattice="-4.355 4.355 2.076 4.355 -4.355 2.076 4.355 4.355 -2.076" Properties=species:S:1:pos:R:3 pbc="T T T"
Sb 6.485 0.800 0.000
Sb 0.800 2.226 0.000
Sb 3.555 2.129 2.076
Sb -2.129 3.555 2.076
O 2.861 2.395 0.000
O 1.961 -1.494 2.076
O 2.395 5.850 0.000
O 1.494 1.961 2.076
```

Main lines, low angle first (2θ = 10–90°):
2θ (°), I_rel
20.39, 37
23.74, 38
31.49, 100
32.50, 89
48.34, 26
55.43, 37

---

(3)
Starting from a cell relaxed with GGA-PBE, the powder X-ray diffraction pattern of Sb3O7 was calculated for copper Kα.
Peak positions follow from Bragg's law for the DFT cell and can differ from measured ones.

Cell and atoms:
```
20
Lattice="-3.635 3.657 5.299 3.635 -3.657 5.299 3.635 3.657 -5.299" Properties=species:S:1:pos:R:3 pbc="T T T"
Sb 0.000 0.000 0.000
Sb 3.635 0.000 0.000
Sb -1.818 1.828 2.649
Sb 0.000 3.657 0.000
Sb 0.000 0.000 5.299
Sb 1.818 1.828 2.649
O 2.053 0.405 1.243
O 5.218 0.405 1.243
O 3.635 -1.828 4.513
O 3.635 1.828 -0.712
O 0.000 1.828 1.957
O 2.053 4.061 -1.243
O 1.583 0.405 4.055
O 2.053 3.252 1.243
O 1.583 -0.405 6.542
O 3.635 1.828 3.342
O 0.000 1.828 6.011
O 0.000 5.485 0.786
O -1.583 3.252 4.055
O 1.583 3.252 4.055
```

Main lines, low angle first (2θ = 10–90°):
2θ (°), I_rel
14.72, 79
28.69, 30
29.68, 96
29.80, 100
34.80, 35
49.32, 61

---

Which formula does entry 1 have?
ZrS2O12